# VInIrO6
Theoretical powder diffraction line list, copper Kα. Input: the PBE+U geometry in Alexandria.

Crystal structure
```
data_VInIrO6
_space_group_name_H-M_alt 'P 42 n m'
_space_group_IT_number 102
_cell_length_a 4.6719
_cell_length_b 4.6719
_cell_length_c 9.5487
_cell_angle_alpha 90.00
_cell_angle_beta 90.00
_cell_angle_gamma 90.00
loop_
_space_group_symop_operation_xyz
'x,y,z'
'-y+1/2,x+1/2,z+1/2'
'-x,-y,z'
'y+1/2,-x+1/2,z+1/2'
'-x+1/2,y+1/2,z+1/2'
'y,x,z'
'x+1/2,-y+1/2,z+1/2'
'-y,-x,z'
loop_
_atom_site_label
_atom_site_type_symbol
_atom_site_fract_x
_atom_site_fract_y
_atom_site_fract_z
V1 V 0.0000 0.0000 0.0000
In1 In 0.0000 0.0000 0.3350
Ir1 Ir 0.0000 0.0000 0.6690
O1 O 0.1800 0.1800 0.8362
O2 O 0.2074 0.2074 0.1568
O3 O 0.2088 0.2088 0.5136
```

Principal peaks in the range 2θ from 10° to 80°, by intensity:
Position (°2θ)	I/Imax	h k l
26.99	100	1 1 0
34.08	85	1 0 3
52.38	66	2 1 3
21.17	37	1 0 1
38.54	22	2 0 0
66.89	19	3 0 3
55.64	16	2 2 0
65.05	16	1 1 6